Calculated powder X-ray diffraction pattern
Compound: GdHg4Bi
Radiation: copper Kα
Structure: the PBE geometry in Alexandria

abc: 8.605 8.605 8.605
angles: 90.00 90.00 90.00
Space group F-43m (No. 216)
One atom of each set of equivalent atoms:
Gd  0.000  0.000  0.000 x4
Hg  0.125  0.125  0.375 x16
Bi  0.250  0.250  0.750 x4

Principal peaks in the range 15° ≤ 2θ ≤ 90°, in order of rising 2θ:
d 4.968, rel. 83, (1 1 1); d 3.042, rel. 231, (2 2 0); d 2.595, rel. 1000, (3 1 1); d 2.484, rel. 442, (2 2 2); d 1.757, rel. 96, (4 2 2); d 1.656, rel. 352, (3 3 3); d 1.521, rel. 313, (4 4 0); d 1.312, rel. 124, (5 3 3); d 1.297, rel. 179, (6 2 2); d 1.120, rel. 238, (7 3 1)

Calculated powder X-ray diffraction pattern
Compound: GdThHgBi
Radiation: copper Kα
Structure: the PBE geometry in Alexandria

abc: 7.739 7.739 7.739
angles: 90.00 90.00 90.00
Space group F-43m (No. 216)
One atom of each set of equivalent atoms:
Gd  0.000  0.000  0.000 x4
Th  0.000  0.000  0.500 x4
Hg  0.250  0.250  0.750 x4
Bi  0.250  0.250  0.250 x4

Principal peaks in the range 15° ≤ 2θ ≤ 90°, in order of rising 2θ:
d 4.468, rel. 16, (1 1 1); d 2.736, rel. 1000, (2 2 0); d 2.333, rel. 10, (3 1 1); d 1.935, rel. 187, (4 0 0); d 1.580, rel. 394, (4 2 2); d 1.368, rel. 123, (4 4 0); d 1.224, rel. 173, (6 2 0); d 1.117, rel. 45, (4 4 4)

Calculated powder X-ray diffraction pattern
Compound: LaGdBiTe
Radiation: copper Kα
Structure: the PBE geometry in Alexandria

abc: 7.872 7.872 7.872
angles: 90.00 90.00 90.00
Space group F-43m (No. 216)
One atom of each set of equivalent atoms:
La  0.000  0.000  0.000 x4
Gd  0.000  0.000  0.500 x4
Bi  0.250  0.250  0.750 x4
Te  0.250  0.250  0.250 x4

Principal peaks in the range 15° ≤ 2θ ≤ 90°, in order of rising 2θ:
d 4.545, rel. 38, (1 1 1); d 2.783, rel. 1000, (2 2 0); d 2.374, rel. 25, (3 1 1); d 1.968, rel. 185, (4 0 0); d 1.806, rel. 11, (3 3 1); d 1.607, rel. 389, (4 2 2); d 1.392, rel. 121, (4 4 0); d 1.331, rel. 9, (5 3 1); d 1.245, rel. 168, (6 2 0); d 1.136, rel. 43, (4 4 4)

Calculated powder X-ray diffraction pattern
Compound: LiGdYBi
Radiation: copper Kα
Structure: the PBE geometry in Alexandria

abc: 7.560 7.560 7.560
angles: 90.00 90.00 90.00
Space group F-43m (No. 216)
One atom of each set of equivalent atoms:
Li  0.000  0.000  0.000 x4
Gd  0.250  0.250  0.750 x4
Y  0.250  0.250  0.250 x4
Bi  0.000  0.000  0.500 x4

Principal peaks in the range 15° ≤ 2θ ≤ 90°, in order of rising 2θ:
d 4.365, rel. 478, (1 1 1); d 2.673, rel. 1000, (2 2 0); d 2.279, rel. 276, (3 1 1); d 1.890, rel. 183, (4 0 0); d 1.734, rel. 122, (3 3 1); d 1.543, rel. 380, (4 2 2); d 1.455, rel. 93, (5 1 1); d 1.336, rel. 118, (4 4 0); d 1.278, rel. 93, (5 3 1); d 1.195, rel. 167, (6 2 0)